This entry pairs a crystal structure of GaNiAu with its simulated PXRD pattern. Radiation: Cu Kα (λ = 1.5418 Å). Structure: DFT lattice parameters and positions (GGA-PBE).
Neutral-atom scattering factors, no anomalous dispersion.

Structure:
```
data_GaNiAu
_chemical_formula_sum 'Ga1 Ni1 Au1'
_space_group_name_H-M_alt 'P m m m'
_space_group_IT_number 47
_cell_length_a 2.8935
_cell_length_b 3.8907
_cell_length_c 4.4065
_cell_angle_alpha 90.00
_cell_angle_beta 90.00
_cell_angle_gamma 90.00
loop_
_space_group_symop_operation_xyz
'x,y,z'
'-x,-y,-z'
'-x,-y,z'
'x,y,-z'
'x,-y,-z'
'-x,y,z'
'-x,y,-z'
'x,-y,z'
loop_
_atom_site_label
_atom_site_fract_x
_atom_site_fract_y
_atom_site_fract_z
Ga1 0.0000 0.0000 0.0000
Ni1 0.5000 0.5000 0.0000
Au1 0.0000 0.5000 0.5000
```

Top 10 peaks for 5 to 70 degrees two-theta, by intensity:
2θ (°)  Rel. int.  (hkl)
44.09  1000  1 1 1
30.65  502  0 1 1
22.86  439  0 1 0
40.96  309  0 0 2
37.17  258  1 0 1
30.90  246  1 0 0
46.69  211  0 2 0
63.83  164  0 2 2
47.42  130  0 1 2
61.14  121  1 2 1